Simulated powder diffraction line list of K5MgSb2 for a wavelength of 1.5418 Å, from a crystal structure in Alexandria, relaxed with GGA-PBE.
Lines closer than 0.1° are merged.

Cell and atoms:
Cell lengths 10.588, 10.588, 10.588 Å; angles 33.86, 33.86, 33.86 degrees
Element x y z (fractional)
K: 0.000 0.000 0.000
K: 0.123 0.123 0.123
K: 0.280 0.280 0.280
K: 0.720 0.720 0.720
K: 0.877 0.877 0.877
Mg: 0.500 0.500 0.500
Sb: 0.406 0.406 0.406
Sb: 0.594 0.594 0.594

Largest 12 diffraction maxima, in order of rising 2θ, 2θ from 10° to 90°:
Position (°2θ), I/Imax
16.87, 32.2
17.79, 18.9
26.72, 45.0
28.96, 100.0
34.19, 24.5
34.36, 28.6
39.83, 21.4
45.52, 16.0
51.33, 18.5
54.80, 17.2
54.89, 19.7
71.02, 16.4



Simulated powder diffraction line list of KMg3Sb for a wavelength of 1.5418 Å, from a crystal structure in Alexandria, relaxed with GGA-PBE.
Lines closer than 0.1° are merged.

Cell and atoms:
Cell lengths 5.750, 5.750, 5.750 Å; angles 90.00, 90.00, 90.00 degrees
Element x y z (fractional)
K: 0.000 0.000 0.000
Mg: 0.000 0.500 0.500
Mg: 0.500 0.000 0.500
Mg: 0.500 0.500 0.000
Sb: 0.500 0.500 0.500

Largest 12 diffraction maxima, in order of rising 2θ, 2θ from 10° to 90°:
Position (°2θ), I/Imax
15.41, 66.3
21.86, 100.0
31.11, 62.9
34.89, 36.2
38.34, 45.2
44.57, 44.9
47.43, 19.4
50.17, 20.1
55.35, 15.3
60.22, 22.7
73.68, 18.8
82.12, 13.9



Simulated powder diffraction line list of K4MgSc for a wavelength of 1.5418 Å, from a crystal structure in Alexandria, relaxed with GGA-PBE.
Lines closer than 0.1° are merged.

Cell and atoms:
Cell lengths 7.469, 7.469, 7.469 Å; angles 60.00, 60.00, 60.00 degrees
Element x y z (fractional)
K: 0.125 0.125 0.125
K: 0.125 0.125 0.625
K: 0.125 0.625 0.125
K: 0.625 0.125 0.125
Mg: 0.750 0.750 0.750
Sc: 0.500 0.500 0.500

Largest 12 diffraction maxima, in order of rising 2θ, 2θ from 10° to 90°:
Position (°2θ), I/Imax
14.52, 11.7
23.83, 21.7
28.02, 100.0
29.29, 45.7
33.95, 7.0
41.90, 8.9
44.57, 33.3
48.77, 29.0
57.19, 11.0
57.91, 15.8
68.20, 18.4
78.41, 9.3



Simulated powder diffraction line list of KMgSiTe4 for a wavelength of 1.5418 Å, from a crystal structure in Alexandria, relaxed with GGA-PBE.
Lines closer than 0.1° are merged.

Cell and atoms:
Cell lengths 7.157, 7.180, 10.641 Å; angles 90.00, 106.34, 90.00 degrees
Element x y z (fractional)
K: 0.201 0.250 0.042
K: 0.799 0.750 0.958
Mg: 0.282 0.250 0.672
Mg: 0.718 0.750 0.328
Si: 0.222 0.750 0.304
Si: 0.778 0.250 0.696
Te: 0.016 0.516 0.718
Te: 0.016 0.984 0.718
Te: 0.373 0.750 0.116
Te: 0.493 0.250 0.485
Te: 0.507 0.750 0.515
Te: 0.627 0.250 0.884
Te: 0.984 0.016 0.282
Te: 0.984 0.484 0.282

Largest 12 diffraction maxima, in order of rising 2θ, 2θ from 10° to 90°:
Position (°2θ), I/Imax
18.51, 37.3
24.48, 80.2
24.92, 30.0
25.74, 58.9
25.95, 24.2
28.05, 100.0
28.27, 24.2
30.44, 53.6
40.39, 40.8
43.68, 36.8
44.37, 20.2
50.87, 19.7



Simulated powder diffraction line list of KMg6Sn6 for a wavelength of 1.5418 Å, from a crystal structure in Alexandria, relaxed with GGA-PBE.
Lines closer than 0.1° are merged.

Cell and atoms:
Cell lengths 7.969, 7.969, 7.969 Å; angles 134.32, 103.56, 93.83 degrees
Element x y z (fractional)
K: 0.000 0.000 0.000
Mg: 0.000 0.000 0.500
Mg: 0.000 0.500 0.000
Mg: 0.247 0.500 0.747
Mg: 0.500 0.000 0.000
Mg: 0.500 0.500 0.500
Mg: 0.753 0.500 0.253
Sn: 0.170 0.670 0.500
Sn: 0.339 0.339 0.000
Sn: 0.348 0.000 0.348
Sn: 0.652 0.000 0.652
Sn: 0.661 0.661 0.000
Sn: 0.830 0.330 0.500

Largest 12 diffraction maxima, in order of rising 2θ, 2θ from 10° to 90°:
Position (°2θ), I/Imax
17.99, 23.7
24.49, 30.9
28.52, 100.0
28.86, 48.8
33.92, 61.0
34.22, 30.0
35.03, 20.8
38.12, 33.7
40.21, 46.4
50.93, 20.7
59.01, 37.9
63.99, 25.2



Simulated powder diffraction line list of KMgSnTe3 for a wavelength of 1.5418 Å, from a crystal structure in Alexandria, relaxed with GGA-PBE.
Lines closer than 0.1° are merged.

Cell and atoms:
Cell lengths 10.044, 4.345, 10.579 Å; angles 90.00, 106.41, 90.00 degrees
Element x y z (fractional)
K: 0.207 0.250 0.246
K: 0.793 0.750 0.754
Mg: 0.084 0.250 0.613
Mg: 0.916 0.750 0.387
Sn: 0.337 0.750 0.884
Sn: 0.663 0.250 0.116
Te: 0.119 0.250 0.886
Te: 0.207 0.750 0.522
Te: 0.468 0.750 0.171
Te: 0.532 0.250 0.829
Te: 0.793 0.250 0.478
Te: 0.881 0.750 0.114

Largest 12 diffraction maxima, in order of rising 2θ, 2θ from 10° to 90°:
Position (°2θ), I/Imax
10.73, 64.3
21.98, 19.9
26.35, 36.5
27.38, 100.0
27.65, 33.9
30.38, 23.0
32.76, 29.6
33.81, 18.3
40.88, 34.9
41.57, 28.6
42.74, 33.4
49.90, 18.3



Simulated powder diffraction line list of KMgTlSn for a wavelength of 1.5418 Å, from a crystal structure in Alexandria, relaxed with GGA-PBE.
Lines closer than 0.1° are merged.

Cell and atoms:
Cell lengths 7.745, 7.745, 7.745 Å; angles 90.00, 90.00, 90.00 degrees
Element x y z (fractional)
K: 0.000 0.000 0.000
K: 0.000 0.500 0.500
K: 0.500 0.000 0.500
K: 0.500 0.500 0.000
Mg: 0.000 0.000 0.500
Mg: 0.000 0.500 0.000
Mg: 0.500 0.000 0.000
Mg: 0.500 0.500 0.500
Tl: 0.250 0.250 0.750
Tl: 0.250 0.750 0.250
Tl: 0.750 0.250 0.250
Tl: 0.750 0.750 0.750
Sn: 0.250 0.250 0.250
Sn: 0.250 0.750 0.750
Sn: 0.750 0.250 0.750
Sn: 0.750 0.750 0.250

Largest 12 diffraction maxima, in order of rising 2θ, 2θ from 10° to 90°:
Position (°2θ), I/Imax
19.86, 9.5
22.97, 50.7
32.70, 100.0
38.55, 5.3
40.34, 16.6
46.93, 18.3
52.87, 23.6
58.37, 38.3
68.54, 11.9
73.35, 11.8
78.03, 16.6
82.64, 7.1



Simulated powder diffraction line list of KMgTa4 for a wavelength of 1.5418 Å, from a crystal structure in Alexandria, relaxed with GGA-PBE.
Lines closer than 0.1° are merged.

Cell and atoms:
Cell lengths 5.733, 5.733, 5.733 Å; angles 60.00, 60.00, 60.00 degrees
Element x y z (fractional)
K: 0.000 0.000 0.000
Mg: 0.750 0.750 0.750
Ta: 0.374 0.374 0.374
Ta: 0.374 0.374 0.877
Ta: 0.374 0.877 0.374
Ta: 0.877 0.374 0.374

Largest 12 diffraction maxima, in order of rising 2θ, 2θ from 10° to 90°:
Position (°2θ), I/Imax
18.96, 100.0
36.77, 99.0
38.46, 91.3
44.71, 37.3
48.97, 26.5
59.22, 33.1
65.08, 34.9
68.47, 19.9
77.15, 11.4
78.21, 35.4
82.42, 8.8
85.54, 11.3



Simulated powder diffraction line list of KMg2Te2 for a wavelength of 1.5418 Å, from a crystal structure in Alexandria, relaxed with GGA-PBE.
Lines closer than 0.1° are merged.

Cell and atoms:
Cell lengths 4.830, 4.830, 14.976 Å; angles 90.00, 90.00, 90.00 degrees
Element x y z (fractional)
K: 0.000 0.000 0.000
K: 0.500 0.500 0.500
Mg: 0.000 0.500 0.250
Mg: 0.000 0.500 0.750
Mg: 0.500 0.000 0.250
Mg: 0.500 0.000 0.750
Te: 0.000 0.000 0.358
Te: 0.000 0.000 0.642
Te: 0.500 0.500 0.142
Te: 0.500 0.500 0.858

Largest 12 diffraction maxima, in order of rising 2θ, 2θ from 10° to 90°:
Position (°2θ), I/Imax
19.31, 36.7
25.66, 100.0
26.09, 39.0
35.58, 34.2
37.23, 31.0
42.27, 10.2
44.98, 17.8
45.77, 40.4
46.42, 12.5
53.67, 10.5
60.95, 11.2
66.07, 11.2



Simulated powder diffraction line list of KMg14Ti for a wavelength of 1.5418 Å, from a crystal structure in Alexandria, relaxed with GGA-PBE.
Lines closer than 0.1° are merged.

Cell and atoms:
Cell lengths 6.535, 6.535, 10.363 Å; angles 90.00, 90.00, 120.00 degrees
Element x y z (fractional)
K: 0.000 0.000 0.000
Mg: 0.010 0.505 0.000
Mg: 0.166 0.332 0.267
Mg: 0.166 0.332 0.733
Mg: 0.166 0.834 0.267
Mg: 0.166 0.834 0.733
Mg: 0.495 0.505 0.000
Mg: 0.495 0.990 0.000
Mg: 0.502 0.003 0.500
Mg: 0.502 0.498 0.500
Mg: 0.667 0.333 0.245
Mg: 0.667 0.333 0.755
Mg: 0.668 0.834 0.267
Mg: 0.668 0.834 0.733
Mg: 0.997 0.498 0.500
Ti: 0.000 0.000 0.500

Largest 12 diffraction maxima, in order of rising 2θ, 2θ from 10° to 90°:
Position (°2θ), I/Imax
15.66, 4.2
23.28, 3.2
31.62, 25.2
34.62, 23.9
36.17, 100.0
47.59, 14.4
56.31, 17.4
63.06, 15.7
67.82, 17.9
68.78, 13.5
76.75, 3.1
89.55, 5.5



Simulated powder diffraction line list of KMg2Tl10 for a wavelength of 1.5418 Å, from a crystal structure in Alexandria, relaxed with GGA-PBE.
Lines closer than 0.1° are merged.

Cell and atoms:
Cell lengths 11.175, 8.639, 8.423 Å; angles 81.82, 49.93, 48.25 degrees
Element x y z (fractional)
K: 0.000 0.000 0.000
Mg: 0.000 0.500 0.000
Mg: 0.500 0.000 0.500
Tl: 0.000 0.000 0.500
Tl: 0.007 0.354 0.646
Tl: 0.284 0.492 0.508
Tl: 0.354 0.007 0.993
Tl: 0.492 0.284 0.716
Tl: 0.500 0.500 0.000
Tl: 0.508 0.716 0.284
Tl: 0.646 0.993 0.007
Tl: 0.716 0.508 0.492
Tl: 0.993 0.646 0.354

Largest 12 diffraction maxima, in order of rising 2θ, 2θ from 10° to 90°:
Position (°2θ), I/Imax
11.37, 60.5
15.89, 32.2
27.70, 80.9
31.70, 64.2
32.08, 100.0
32.43, 53.4
35.51, 22.5
35.77, 89.1
36.21, 91.0
36.39, 25.6
55.28, 26.4
57.17, 28.7



Simulated powder diffraction line list of K2Mg3Tl9 for a wavelength of 1.5418 Å, from a crystal structure in Alexandria, relaxed with GGA-PBE.
Lines closer than 0.1° are merged.

Cell and atoms:
Cell lengths 9.240, 9.240, 12.678 Å; angles 111.46, 111.46, 59.73 degrees
Element x y z (fractional)
K: 0.085 0.256 0.248
K: 0.256 0.085 0.748
K: 0.744 0.915 0.252
K: 0.915 0.744 0.752
Mg: 0.000 0.500 0.000
Mg: 0.159 0.671 0.500
Mg: 0.329 0.841 0.000
Mg: 0.500 0.000 0.500
Mg: 0.671 0.159 0.000
Mg: 0.841 0.329 0.500
Tl: 0.017 0.870 0.084
Tl: 0.130 0.983 0.416
Tl: 0.186 0.360 0.576
Tl: 0.214 0.579 0.253
Tl: 0.314 0.491 0.963
Tl: 0.360 0.186 0.076
Tl: 0.374 0.626 0.750
Tl: 0.421 0.786 0.247
Tl: 0.491 0.314 0.463
Tl: 0.509 0.686 0.537
Tl: 0.579 0.214 0.753
Tl: 0.626 0.374 0.250
Tl: 0.640 0.814 0.924
Tl: 0.686 0.509 0.037
Tl: 0.786 0.421 0.747
Tl: 0.814 0.640 0.424
Tl: 0.870 0.017 0.584
Tl: 0.983 0.130 0.916

Largest 12 diffraction maxima, in order of rising 2θ, 2θ from 10° to 90°:
Position (°2θ), I/Imax
11.38, 14.1
12.19, 16.8
15.10, 13.6
20.74, 14.2
24.74, 44.2
30.32, 100.0
33.55, 18.4
33.69, 35.3
37.25, 26.1
39.80, 16.9
57.99, 16.4
58.17, 22.1



> Which formula does entry 1 have?

K5MgSb2